For MgAg2Cl, the GGA-PBE geometry in Alexandria gives the simulated PXRD pattern in this record (λ = 1.5418 Å (Cu Kα)).
Neutral-atom scattering factors, no anomalous dispersion.

Top 10 peaks for 10° ≤ 2θ ≤ 90°, most intense first:
2θ = 10.00°, d 8.843, I = 100.0
2θ = 35.05°, d 2.561, I = 73.1
2θ = 42.01°, d 2.151, I = 51.5
2θ = 40.62°, d 2.221, I = 33.9
2θ = 30.20°, d 2.960, I = 26.8
2θ = 70.32°, d 1.339, I = 17.4
2θ = 74.89°, d 1.268, I = 12.6
2θ = 67.73°, d 1.384, I = 12.5
2θ = 58.80°, d 1.570, I = 10.7
2θ = 20.08°, d 4.422, I = 9.6

Unit cell a=3.1407 b=3.1407 c=8.8433 alpha=90.00 beta=90.00 gamma=90.00
Positions (direct):
Mg (0.0000, 0.0000, 0.0000)
Ag (0.0000, 0.0000, 0.4320)
Ag (0.5000, 0.5000, 0.2235)
Cl (0.5000, 0.5000, 0.8367)

***

For NaI3O8, the GGA-PBE geometry in Alexandria gives the simulated PXRD pattern in this record (λ = 1.5418 Å (Cu Kα)).
Neutral-atom scattering factors, no anomalous dispersion.

Top 10 peaks for 10° ≤ 2θ ≤ 90°, most intense first:
2θ = 26.31°, d 3.388, I = 100.0
2θ = 21.33°, d 4.165, I = 85.8
2θ = 30.71°, d 2.911, I = 38.1
2θ = 28.49°, d 3.133, I = 35.6
2θ = 46.30°, d 1.961, I = 33.9
2θ = 33.79°, d 2.653, I = 30.8
2θ = 51.98°, d 1.759, I = 30.7
2θ = 15.22°, d 5.823, I = 28.9
2θ = 37.70°, d 2.386, I = 27.1
2θ = 43.98°, d 2.059, I = 26.5

Unit cell a=8.2347 b=8.2347 c=5.9596 alpha=90.00 beta=90.00 gamma=90.00
Positions (direct):
Na (0.0000, 0.0000, 0.0000)
Na (0.5000, 0.5000, 0.0000)
I (0.0000, 0.5000, 0.1237)
I (0.2224, 0.2489, 0.6195)
I (0.2489, 0.7776, 0.3805)
I (0.5000, 0.0000, 0.8763)
I (0.7511, 0.2224, 0.3805)
I (0.7776, 0.7511, 0.6195)
O (0.0058, 0.2239, 0.6619)
O (0.0822, 0.7372, 0.1500)
O (0.1694, 0.4524, 0.3157)
O (0.2239, 0.9942, 0.3381)
O (0.2605, 0.4227, 0.8005)
O (0.2628, 0.0822, 0.8500)
O (0.4227, 0.7395, 0.1995)
O (0.4524, 0.8306, 0.6843)
O (0.5476, 0.1694, 0.6843)
O (0.5773, 0.2605, 0.1995)
O (0.7372, 0.9178, 0.8500)
O (0.7395, 0.5773, 0.8005)
O (0.7761, 0.0058, 0.3381)
O (0.8306, 0.5476, 0.3157)
O (0.9178, 0.2628, 0.1500)
O (0.9942, 0.7761, 0.6619)

***

For PrSi2Ni8, the GGA-PBE geometry in Alexandria gives the simulated PXRD pattern in this record (λ = 1.5418 Å (Cu Kα)).
Neutral-atom scattering factors, no anomalous dispersion.

Top 10 peaks for 10° ≤ 2θ ≤ 90°, most intense first:
2θ = 44.19°, d 2.050, I = 100.0
2θ = 53.34°, d 1.718, I = 35.5
2θ = 21.68°, d 4.100, I = 35.0
2θ = 28.49°, d 3.133, I = 33.3
2θ = 35.23°, d 2.547, I = 33.2
2θ = 38.90°, d 2.315, I = 24.0
2θ = 37.01°, d 2.429, I = 21.6
2θ = 65.54°, d 1.424, I = 20.8
2θ = 18.26°, d 4.858, I = 20.1
2θ = 52.02°, d 1.758, I = 18.5

Unit cell a=4.8583 b=4.8583 c=7.6416 alpha=90.00 beta=90.00 gamma=90.00
Positions (direct):
Pr (0.0000, 0.0000, 0.0000)
Si (0.0000, 0.5000, 0.5000)
Si (0.5000, 0.0000, 0.5000)
Ni (0.2541, 0.2541, 0.3039)
Ni (0.2541, 0.2541, 0.6961)
Ni (0.2541, 0.7459, 0.3039)
Ni (0.2541, 0.7459, 0.6961)
Ni (0.7459, 0.2541, 0.3039)
Ni (0.7459, 0.2541, 0.6961)
Ni (0.7459, 0.7459, 0.3039)
Ni (0.7459, 0.7459, 0.6961)

***

For Sm4Te2PPb, the GGA-PBE geometry in Alexandria gives the simulated PXRD pattern in this record (λ = 1.5418 Å (Cu Kα)).
Neutral-atom scattering factors, no anomalous dispersion.

Top 10 peaks for 10° ≤ 2θ ≤ 90°, most intense first:
2θ = 28.74°, d 3.106, I = 100.0
2θ = 41.24°, d 2.189, I = 25.0
2θ = 40.95°, d 2.204, I = 24.4
2θ = 51.18°, d 1.785, I = 13.5
2θ = 41.41°, d 2.180, I = 12.8
2θ = 40.78°, d 2.213, I = 11.9
2θ = 59.52°, d 1.553, I = 11.8
2θ = 67.62°, d 1.386, I = 10.9
2θ = 67.21°, d 1.393, I = 10.1
2θ = 50.89°, d 1.794, I = 6.4

Unit cell a=7.5941 b=4.3608 c=7.6631 alpha=90.00 beta=109.08 gamma=90.00
Positions (direct):
Sm (0.2276, 0.0000, 0.2219)
Sm (0.2418, 0.5000, 0.7668)
Sm (0.7582, 0.5000, 0.2332)
Sm (0.7724, 0.0000, 0.7781)
Te (0.0000, 0.0000, 0.5000)
Te (0.5000, 0.5000, 0.5000)
P (0.0000, 0.5000, 0.0000)
Pb (0.5000, 0.0000, 0.0000)

***

For EuAl4In, the GGA-PBE geometry in Alexandria gives the simulated PXRD pattern in this record (λ = 1.5418 Å (Cu Kα)).
Neutral-atom scattering factors, no anomalous dispersion.

Top 10 peaks for 10° ≤ 2θ ≤ 90°, most intense first:
2θ = 37.28°, d 2.412, I = 100.0
2θ = 31.64°, d 2.828, I = 93.7
2θ = 19.22°, d 4.619, I = 53.3
2θ = 56.34°, d 1.633, I = 35.6
2θ = 60.10°, d 1.540, I = 32.3
2θ = 66.07°, d 1.414, I = 21.4
2θ = 75.11°, d 1.265, I = 15.2
2θ = 49.68°, d 1.835, I = 14.0
2θ = 78.39°, d 1.220, I = 11.2
2θ = 69.52°, d 1.352, I = 10.2

Unit cell a=5.6565 b=5.6565 c=5.6565 alpha=60.00 beta=60.00 gamma=60.00
Positions (direct):
Eu (0.0000, 0.0000, 0.0000)
Al (0.1229, 0.6257, 0.6257)
Al (0.6257, 0.1229, 0.6257)
Al (0.6257, 0.6257, 0.1229)
Al (0.6257, 0.6257, 0.6257)
In (0.2500, 0.2500, 0.2500)

***

For Ta2RuPtRh, the GGA-PBE geometry in Alexandria gives the simulated PXRD pattern in this record (λ = 1.5418 Å (Cu Kα)).
Neutral-atom scattering factors, no anomalous dispersion.

Top 10 peaks for 10° ≤ 2θ ≤ 90°, most intense first:
2θ = 33.16°, d 2.702, I = 100.0
2θ = 38.32°, d 2.349, I = 64.0
2θ = 55.66°, d 1.651, I = 43.6
2θ = 38.78°, d 2.322, I = 31.0
2θ = 66.03°, d 1.415, I = 28.0
2θ = 69.60°, d 1.351, I = 22.3
2θ = 55.32°, d 1.661, I = 22.2
2θ = 27.00°, d 3.303, I = 19.9
2θ = 66.65°, d 1.403, I = 13.6
2θ = 47.50°, d 1.914, I = 8.8

Unit cell a=4.6974 b=4.6974 c=4.6446 alpha=90.00 beta=90.00 gamma=90.00
Positions (direct):
Ta (0.0000, 0.5000, 0.0000)
Ta (0.5000, 0.0000, 0.0000)
Ru (0.0000, 0.0000, 0.0000)
Pt (0.5000, 0.5000, 0.5000)
Rh (0.0000, 0.0000, 0.5000)

***

For Nd2Dy3ErSe6, the GGA-PBE geometry in Alexandria gives the simulated PXRD pattern in this record (λ = 1.5418 Å (Cu Kα)).
Neutral-atom scattering factors, no anomalous dispersion.

Top 10 peaks for 10° ≤ 2θ ≤ 90°, most intense first:
2θ = 30.67°, d 2.915, I = 100.0
2θ = 43.94°, d 2.061, I = 49.0
2θ = 72.50°, d 1.304, I = 16.2
2θ = 54.27°, d 1.690, I = 13.0
2θ = 54.79°, d 1.676, I = 12.8
2θ = 43.60°, d 2.076, I = 12.6
2θ = 44.21°, d 2.049, I = 12.3
2θ = 63.87°, d 1.457, I = 11.9
2θ = 26.36°, d 3.381, I = 10.2
2θ = 26.60°, d 3.351, I = 9.8

Unit cell a=9.2148 b=9.2148 c=8.3031 alpha=103.12 beta=103.12 gamma=25.69
Positions (direct):
Nd (0.1690, 0.1690, 0.3369)
Nd (0.8310, 0.8310, 0.6631)
Dy (0.1712, 0.1712, 0.8338)
Dy (0.5000, 0.5000, 0.5000)
Dy (0.8288, 0.8288, 0.1662)
Er (0.5000, 0.5000, 0.0000)
Se (0.0040, 0.0040, 0.7551)
Se (0.3365, 0.3365, 0.9276)
Se (0.3377, 0.3377, 0.4088)
Se (0.6623, 0.6623, 0.5912)
Se (0.6635, 0.6635, 0.0724)
Se (0.9960, 0.9960, 0.2449)

***

For Pr2NdSm4Dy2, the GGA-PBE geometry in Alexandria gives the simulated PXRD pattern in this record (λ = 1.5418 Å (Cu Kα)).
Neutral-atom scattering factors, no anomalous dispersion.

Top 10 peaks for 10° ≤ 2θ ≤ 90°, most intense first:
2θ = 30.75°, d 2.907, I = 100.0
2θ = 31.89°, d 2.806, I = 90.4
2θ = 31.23°, d 2.864, I = 84.7
2θ = 31.07°, d 2.879, I = 83.8
2θ = 31.76°, d 2.817, I = 75.4
2θ = 29.27°, d 3.052, I = 68.9
2θ = 55.79°, d 1.648, I = 30.4
2θ = 47.22°, d 1.925, I = 27.7
2θ = 41.92°, d 2.155, I = 25.4
2θ = 32.22°, d 2.778, I = 24.9

Unit cell a=6.1095 b=6.7333 c=8.7172 alpha=80.05 beta=70.79 gamma=65.43
Positions (direct):
Pr (0.2285, 0.3272, 0.3431)
Pr (0.7715, 0.6728, 0.6569)
Nd (0.5000, 0.0000, 0.0000)
Sm (0.1235, 0.1286, 0.7569)
Sm (0.2369, 0.5812, 0.8844)
Sm (0.7631, 0.4188, 0.1156)
Sm (0.8765, 0.8714, 0.2431)
Dy (0.3214, 0.7689, 0.4443)
Dy (0.6786, 0.2311, 0.5557)

***

For NdHoAu, the GGA-PBE geometry in Alexandria gives the simulated PXRD pattern in this record (λ = 1.5418 Å (Cu Kα)).
Neutral-atom scattering factors, no anomalous dispersion.

Top 10 peaks for 10° ≤ 2θ ≤ 90°, most intense first:
2θ = 35.86°, d 2.504, I = 100.0
2θ = 37.04°, d 2.427, I = 97.2
2θ = 28.73°, d 3.108, I = 83.0
2θ = 30.59°, d 2.923, I = 54.2
2θ = 66.00°, d 1.416, I = 34.0
2θ = 53.39°, d 1.716, I = 33.6
2θ = 25.96°, d 3.432, I = 30.5
2θ = 48.77°, d 1.867, I = 28.8
2θ = 21.97°, d 4.046, I = 25.4
2θ = 41.40°, d 2.181, I = 24.5

Unit cell a=7.3213 b=6.8705 c=6.8588 alpha=90.00 beta=90.05 gamma=90.00
Positions (direct):
Nd (0.1221, 0.0175, 0.2499)
Nd (0.1221, 0.4825, 0.7499)
Nd (0.8779, 0.5175, 0.2501)
Nd (0.8779, 0.9825, 0.7501)
Ho (0.4886, 0.7501, 0.0000)
Ho (0.4886, 0.7499, 0.5000)
Ho (0.5114, 0.2499, 0.0000)
Ho (0.5114, 0.2501, 0.5000)
Au (0.2752, 0.0088, 0.7496)
Au (0.2752, 0.4912, 0.2496)
Au (0.7248, 0.5088, 0.7504)
Au (0.7248, 0.9912, 0.2504)

***

For BaThPb6, the GGA-PBE geometry in Alexandria gives the simulated PXRD pattern in this record (λ = 1.5418 Å (Cu Kα)).
Neutral-atom scattering factors, no anomalous dispersion.

Top 10 peaks for 10° ≤ 2θ ≤ 90°, most intense first:
2θ = 30.87°, d 2.897, I = 100.0
2θ = 35.89°, d 2.502, I = 34.0
2θ = 61.40°, d 1.510, I = 29.3
2θ = 51.44°, d 1.776, I = 24.2
2θ = 35.60°, d 2.522, I = 16.9
2θ = 61.01°, d 1.519, I = 14.2
2θ = 64.31°, d 1.448, I = 12.6
2θ = 51.66°, d 1.769, I = 12.3
2θ = 83.97°, d 1.152, I = 12.1
2θ = 84.31°, d 1.149, I = 6.3

Unit cell a=5.0047 b=5.0047 c=10.0881 alpha=90.00 beta=90.00 gamma=90.00
Positions (direct):
Ba (0.0000, 0.0000, 0.0000)
Th (0.0000, 0.0000, 0.5000)
Pb (0.0000, 0.5000, 0.2589)
Pb (0.0000, 0.5000, 0.7411)
Pb (0.5000, 0.0000, 0.2589)
Pb (0.5000, 0.0000, 0.7411)
Pb (0.5000, 0.5000, 0.0000)
Pb (0.5000, 0.5000, 0.5000)

***

For PaCu2S3, the GGA-PBE geometry in Alexandria gives the simulated PXRD pattern in this record (λ = 1.5418 Å (Cu Kα)).
Neutral-atom scattering factors, no anomalous dispersion.

Top 10 peaks for 10° ≤ 2θ ≤ 90°, most intense first:
2θ = 14.32°, d 6.184, I = 100.0
2θ = 36.84°, d 2.440, I = 34.6
2θ = 30.76°, d 2.907, I = 30.3
2θ = 35.00°, d 2.564, I = 29.8
2θ = 28.94°, d 3.085, I = 27.8
2θ = 26.27°, d 3.392, I = 23.4
2θ = 29.95°, d 2.983, I = 23.3
2θ = 49.63°, d 1.837, I = 18.8
2θ = 46.34°, d 1.959, I = 17.5
2θ = 41.38°, d 2.182, I = 16.2

Unit cell a=6.9513 b=3.9191 c=9.6237 alpha=90.00 beta=102.81 gamma=90.00
Positions (direct):
Pa (0.1631, 0.2500, 0.1796)
Pa (0.8369, 0.7500, 0.8204)
Cu (0.1919, 0.2500, 0.8617)
Cu (0.4039, 0.7500, 0.4169)
Cu (0.5961, 0.2500, 0.5831)
Cu (0.8081, 0.7500, 0.1383)
S (0.0546, 0.7500, 0.3397)
S (0.2390, 0.7500, 0.9857)
S (0.4753, 0.7500, 0.6690)
S (0.5247, 0.2500, 0.3310)
S (0.7610, 0.2500, 0.0143)
S (0.9454, 0.2500, 0.6603)

***

For CsCdBr3, the GGA-PBE geometry in Alexandria gives the simulated PXRD pattern in this record (λ = 1.5418 Å (Cu Kα)).
Neutral-atom scattering factors, no anomalous dispersion.

Top 10 peaks for 10° ≤ 2θ ≤ 90°, most intense first:
2θ = 26.09°, d 3.416, I = 100.0
2θ = 26.20°, d 3.402, I = 80.3
2θ = 20.58°, d 4.317, I = 57.1
2θ = 30.12°, d 2.967, I = 37.8
2θ = 40.46°, d 2.229, I = 34.4
2θ = 41.43°, d 2.180, I = 30.5
2θ = 46.73°, d 1.944, I = 22.1
2θ = 10.26°, d 8.619, I = 19.5
2θ = 48.98°, d 1.860, I = 19.0
2θ = 53.92°, d 1.700, I = 18.7

Unit cell a=5.5625 b=8.9163 c=8.9201 alpha=75.13 beta=89.69 gamma=89.68
Positions (direct):
Cs (0.0000, 0.0000, 0.0000)
Cs (0.4872, 0.5773, 0.5777)
Cd (0.7434, 0.1136, 0.4635)
Cd (0.7438, 0.4622, 0.1155)
Br (0.5041, 0.1212, 0.7110)
Br (0.5044, 0.7097, 0.1233)
Br (0.5048, 0.1876, 0.1888)
Br (0.9826, 0.3881, 0.3902)
Br (0.9832, 0.4554, 0.8678)
Br (0.9831, 0.8663, 0.4552)